# 1
Starting from a cell relaxed with GGA+U, the powder diffractogram of CsNa2Mn3P4ClO14 was simulated for Cu Kα (weighted mean of Kα1 and Kα2).

Cell and atoms:
abc: 21.5529 5.3382 14.0882
angles: 90.00 118.90 90.00
Space group C2/c (No. 15)
Symmetry-distinct sites (fractional):
Cs (0.0000, 0.0000, 0.0000) [4 per cell]
Na (0.2206, 0.0232, 0.1532) [8 per cell]
Mn (0.0000, 0.4403, 0.7500) [4 per cell]
Mn (0.1585, 0.0155, 0.8472) [8 per cell]
P (0.1211, 0.4948, 0.6749) [8 per cell]
P (0.1580, 0.4856, 0.4942) [8 per cell]
Cl (0.0000, 0.0417, 0.2500) [4 per cell]
O (0.0444, 0.4951, 0.6520) [8 per cell]
O (0.1093, 0.4632, 0.0522) [8 per cell]
O (0.1180, 0.3654, 0.8876) [8 per cell]
O (0.1588, 0.2022, 0.4771) [8 per cell]
O (0.1591, 0.2431, 0.7153) [8 per cell]
O (0.1663, 0.2852, 0.2444) [8 per cell]
O (0.2306, 0.4051, 0.0717) [8 per cell]

Largest 10 diffraction maxima, most intense first, 15° ≤ 2θ ≤ 90°:
30.41°, d 2.940, I = 100, hkl 3 1 -4; 29.85°, d 2.994, I = 88, hkl 3 1 2; 28.38°, d 3.145, I = 70, hkl 6 0 0; 23.96°, d 3.714, I = 63, hkl 1 1 2; 33.57°, d 2.669, I = 62, hkl 0 2 0; 28.97°, d 3.082, I = 60, hkl 5 1 0; 26.76°, d 3.332, I = 43, hkl 5 1 -2; 29.16°, d 3.063, I = 42, hkl 6 0 -4; 42.77°, d 2.114, I = 38, hkl 2 2 -4; 22.09°, d 4.024, I = 35, hkl 3 1 -2

# 2
Starting from a cell relaxed with GGA+U, the powder diffractogram of PmNiC2O6 was simulated for Cu Kα (weighted mean of Kα1 and Kα2).

Cell and atoms:
abc: 4.8898 4.8898 16.3173
angles: 90.00 90.00 120.00
Space group R-3 (No. 148, hexagonal axes)
Symmetry-distinct sites (fractional):
Pm (0.0000, 0.0000, 0.0000) [3 per cell]
Ni (0.0000, 0.0000, 0.5000) [3 per cell]
C (0.0000, 0.0000, 0.2420) [6 per cell]
O (0.0348, 0.7506, 0.2458) [18 per cell]

Largest 10 diffraction maxima, most intense first, 15° ≤ 2θ ≤ 90°:
30.43°, d 2.938, I = 100, hkl 1 0 4; 23.67°, d 3.759, I = 71, hkl 0 1 2; 50.18°, d 1.818, I = 37, hkl 1 1 6; 36.76°, d 2.445, I = 33, hkl 1 1 0; 44.19°, d 2.049, I = 26, hkl 2 0 2; 49.61°, d 1.838, I = 23, hkl 0 1 8; 58.79°, d 1.571, I = 20, hkl 1 2 2; 21.68°, d 4.099, I = 19, hkl 1 0 1; 62.32°, d 1.490, I = 16, hkl 2 1 4; 48.44°, d 1.879, I = 15, hkl 0 2 4